AcMg5Cu3: simulated X-ray powder pattern (Cu Ka), based on a structure optimized by DFT (GGA-PBE).
No peak broadening, texture or thermal motion is included.

Structure:
```
AcMg5Cu3
1.0
2.133 -6.941 0.000
2.133 6.941 0.000
0.000 0.000 13.184
Ac Mg Cu
2 10 6
Direct
0.161 0.839 0.750
0.839 0.161 0.250
0.000 0.000 0.000
0.000 0.000 0.500
0.202 0.798 0.060
0.202 0.798 0.440
0.436 0.564 0.644
0.436 0.564 0.856
0.564 0.436 0.144
0.564 0.436 0.356
0.798 0.202 0.560
0.798 0.202 0.940
0.136 0.864 0.250
0.390 0.610 0.056
0.390 0.610 0.444
0.610 0.390 0.556
0.610 0.390 0.944
0.864 0.136 0.750
```

The 8 most intense peaks (15 to 90 degrees two-theta), low angle first:
2θ (°)	intensity
25.68	926
27.05	300
28.46	351
29.89	647
31.59	1000
35.00	320
42.37	318
50.73	326

***

AcNdAlGa: simulated X-ray powder pattern (Cu Ka), based on a structure optimized by DFT (GGA-PBE).
No peak broadening, texture or thermal motion is included.

Structure:
```
AcNdAlGa
1.0
4.310 0.000 0.000
0.000 4.600 0.000
0.000 0.000 11.872
Ac Nd Al Ga
2 2 2 2
Direct
0.000 0.000 0.000
0.000 0.500 0.500
0.500 0.000 0.718
0.500 0.500 0.218
0.000 0.000 0.286
0.000 0.500 0.786
0.500 0.000 0.415
0.500 0.500 0.915
```

The 8 most intense peaks (15 to 90 degrees two-theta), low angle first:
2θ (°)	intensity
25.54	546
29.38	1000
29.78	579
30.11	232
36.49	351
39.16	227
47.34	214
52.26	245

***

PmSm2Er5Sc: simulated X-ray powder pattern (Cu Ka), based on a structure optimized by DFT (GGA-PBE).
No peak broadening, texture or thermal motion is included.

Structure:
```
PmSm2Er5Sc
1.0
-4.316 4.316 7.569
4.316 -4.316 7.569
4.316 4.316 -7.569
Pm Sm Er Sc
2 4 10 2
Direct
0.250 0.250 0.000
0.750 0.750 0.000
0.118 0.618 0.736
0.382 0.118 0.500
0.618 0.882 0.500
0.882 0.382 0.264
0.000 0.000 0.000
0.066 0.156 0.500
0.156 0.656 0.090
0.344 0.434 0.500
0.434 0.934 0.090
0.500 0.500 0.000
0.566 0.066 0.910
0.656 0.566 0.500
0.844 0.344 0.910
0.934 0.844 0.500
0.250 0.750 0.500
0.750 0.250 0.500
```

The 8 most intense peaks (15 to 90 degrees two-theta), low angle first:
2θ (°)	intensity
29.13	729
29.26	507
31.44	1000
32.81	315
38.06	218
43.64	229
46.99	175
53.27	183

***

Zn6SnAu12: simulated X-ray powder pattern (Cu Ka), based on a structure optimized by DFT (GGA-PBE).
No peak broadening, texture or thermal motion is included.

Structure:
```
Zn6SnAu12
1.0
6.104 3.524 2.779
-6.104 3.524 2.779
0.000 -7.048 2.779
Zn Sn Au
6 1 12
Direct
0.294 0.294 0.693
0.294 0.693 0.294
0.307 0.706 0.706
0.693 0.294 0.294
0.706 0.307 0.706
0.706 0.706 0.307
0.000 0.000 0.000
0.117 0.362 0.362
0.120 0.500 0.880
0.120 0.880 0.500
0.362 0.117 0.362
0.362 0.362 0.117
0.500 0.120 0.880
0.500 0.880 0.120
0.638 0.638 0.883
0.638 0.883 0.638
0.880 0.120 0.500
0.880 0.500 0.120
0.883 0.638 0.638
```

The 8 most intense peaks (15 to 90 degrees two-theta), low angle first:
2θ (°)	intensity
22.94	391
32.37	1000
35.50	401
38.66	455
41.38	559
43.15	288
48.26	440
78.14	277

***

Ba6TePb2I3: simulated X-ray powder pattern (Cu Ka), based on a structure optimized by DFT (GGA-PBE).
No peak broadening, texture or thermal motion is included.

Structure:
```
Ba6TePb2I3
1.0
11.299 -2.444 0.000
11.299 2.444 0.000
-2.459 0.000 10.327
Ba Te Pb I
6 1 2 3
Direct
0.010 0.010 0.239
0.326 0.326 0.430
0.337 0.337 0.906
0.663 0.663 0.094
0.674 0.674 0.570
0.990 0.990 0.761
0.500 0.500 0.000
0.165 0.165 0.327
0.835 0.835 0.673
0.161 0.161 0.831
0.500 0.500 0.500
0.839 0.839 0.169
```

The 8 most intense peaks (15 to 90 degrees two-theta), low angle first:
2θ (°)	intensity
24.29	510
24.76	1000
33.77	213
34.96	784
36.78	198
41.97	123
44.57	201
50.79	138

***

NdCd2Pb3: simulated X-ray powder pattern (Cu Ka), based on a structure optimized by DFT (GGA-PBE).
No peak broadening, texture or thermal motion is included.

Structure:
```
NdCd2Pb3
1.0
4.845 0.000 0.000
0.000 15.013 0.000
0.000 0.000 4.627
Nd Cd Pb
2 4 6
Direct
0.000 0.000 0.000
0.500 0.500 0.000
0.000 0.333 0.000
0.000 0.667 0.000
0.500 0.167 0.000
0.500 0.833 0.000
0.000 0.170 0.500
0.000 0.500 0.500
0.000 0.830 0.500
0.500 0.000 0.500
0.500 0.330 0.500
0.500 0.670 0.500
```

The 8 most intense peaks (15 to 90 degrees two-theta), low angle first:
2θ (°)	intensity
32.18	1000
35.89	186
37.11	171
38.93	150
52.58	127
62.18	150
63.81	141
66.28	126

***

Tb4Ir3Au: simulated X-ray powder pattern (Cu Ka), based on a structure optimized by DFT (GGA-PBE).
No peak broadening, texture or thermal motion is included.

Structure:
```
Tb4Ir3Au
1.0
3.531 0.000 0.000
0.000 4.922 0.000
0.000 0.000 9.742
Tb Ir Au
4 3 1
Direct
0.000 0.000 0.000
0.000 0.000 0.500
0.000 0.500 0.239
0.000 0.500 0.761
0.500 0.000 0.249
0.500 0.000 0.751
0.500 0.500 0.000
0.500 0.500 0.500
```

The 8 most intense peaks (15 to 90 degrees two-theta), low angle first:
2θ (°)	intensity
36.34	1000
36.51	248
36.91	237
52.89	170
65.01	93
65.61	181
66.13	171
77.17	113

***

Ac6TlCu2: simulated X-ray powder pattern (Cu Ka), based on a structure optimized by DFT (GGA-PBE).
No peak broadening, texture or thermal motion is included.

Structure:
```
Ac6TlCu2
1.0
-5.080 5.540 5.706
5.080 -5.540 5.706
5.080 5.540 -5.706
Ac Tl Cu
12 2 4
Direct
0.041 0.234 0.807
0.181 0.288 0.469
0.181 0.712 0.894
0.326 0.015 0.689
0.326 0.637 0.311
0.427 0.234 0.193
0.573 0.766 0.807
0.674 0.363 0.689
0.674 0.985 0.311
0.819 0.288 0.106
0.819 0.712 0.531
0.959 0.766 0.193
0.000 0.000 0.000
0.500 0.500 0.000
0.114 0.614 0.500
0.346 0.000 0.346
0.654 0.000 0.654
0.886 0.386 0.500
```

The 8 most intense peaks (15 to 90 degrees two-theta), low angle first:
2θ (°)	intensity
27.54	374
28.51	1000
30.13	671
30.44	344
30.94	332
35.36	305
50.95	270
53.95	315

***

NiSe2Br: simulated X-ray powder pattern (Cu Ka), based on a structure optimized by DFT (GGA-PBE).
No peak broadening, texture or thermal motion is included.

Structure:
```
NiSe2Br
1.0
4.639 0.000 0.000
0.000 3.668 0.000
-1.534 0.000 5.037
Ni Se Br
1 2 1
Direct
0.000 0.000 0.000
0.341 0.500 0.144
0.659 0.500 0.856
0.000 0.000 0.500
```

The 8 most intense peaks (15 to 90 degrees two-theta), low angle first:
2θ (°)	intensity
17.61	265
30.14	277
30.48	311
31.65	1000
35.49	596
39.33	350
52.65	310
53.00	272

***

Ca4Al2Sn5: simulated X-ray powder pattern (Cu Ka), based on a structure optimized by DFT (GGA-PBE).
No peak broadening, texture or thermal motion is included.

Structure:
```
Ca4Al2Sn5
1.0
7.627 0.000 0.000
0.000 4.615 0.000
-0.051 0.000 8.893
Ca Al Sn
4 2 5
Direct
0.220 0.000 0.132
0.256 0.000 0.617
0.744 0.000 0.383
0.780 0.000 0.868
0.078 0.500 0.377
0.922 0.500 0.623
0.121 0.500 0.874
0.428 0.500 0.343
0.500 0.500 0.000
0.572 0.500 0.657
0.879 0.500 0.126
```

The 8 most intense peaks (15 to 90 degrees two-theta), low angle first:
2θ (°)	intensity
19.23	874
30.22	667
30.37	1000
32.07	458
32.34	303
37.90	310
39.03	431
40.79	287

***

Mg3ZnGa3Pd2: simulated X-ray powder pattern (Cu Ka), based on a structure optimized by DFT (GGA-PBE).
No peak broadening, texture or thermal motion is included.

Structure:
```
Mg3ZnGa3Pd2
1.0
7.576 0.000 0.000
-3.788 6.561 0.000
0.000 0.000 3.012
Mg Zn Ga Pd
3 1 3 2
Direct
0.000 0.702 0.000
0.298 0.298 0.000
0.702 0.000 0.000
0.000 0.000 0.500
0.000 0.368 0.500
0.368 0.000 0.500
0.632 0.632 0.500
0.333 0.667 0.000
0.667 0.333 0.000
```

The 8 most intense peaks (15 to 90 degrees two-theta), low angle first:
2θ (°)	intensity
23.48	529
32.71	266
38.17	896
40.66	468
41.28	1000
47.49	337
69.85	239
76.85	340

***

Li3Bi2P3O12: simulated X-ray powder pattern (Cu Ka), based on a structure optimized by DFT (GGA-PBE).
No peak broadening, texture or thermal motion is included.

Structure:
```
Li3Bi2P3O12
1.0
4.345 -2.838 0.000
4.345 2.838 0.000
-0.546 0.000 20.392
Li Bi P O
6 4 6 24
Direct
0.000 0.000 0.158
0.000 0.000 0.842
0.340 0.340 0.911
0.342 0.342 0.226
0.658 0.658 0.774
0.660 0.660 0.089
0.000 0.000 0.000
0.000 0.000 0.500
0.005 0.005 0.319
0.995 0.995 0.681
0.349 0.349 0.764
0.355 0.355 0.079
0.357 0.357 0.401
0.643 0.643 0.599
0.645 0.645 0.921
0.651 0.651 0.236
0.235 0.688 0.410
0.239 0.239 0.455
0.241 0.241 0.134
0.242 0.682 0.765
0.246 0.246 0.823
0.248 0.686 0.084
0.254 0.254 0.699
0.275 0.275 0.009
0.289 0.289 0.330
0.312 0.765 0.590
0.314 0.752 0.916
0.318 0.758 0.235
0.682 0.242 0.765
0.686 0.248 0.084
0.688 0.235 0.410
0.711 0.711 0.670
0.725 0.725 0.991
0.746 0.746 0.301
0.752 0.314 0.916
0.754 0.754 0.177
0.758 0.318 0.235
0.759 0.759 0.866
0.761 0.761 0.545
0.765 0.312 0.590
```

The 8 most intense peaks (15 to 90 degrees two-theta), low angle first:
2θ (°)	intensity
18.67	1000
20.45	569
22.68	528
24.62	250
31.52	376
32.16	495
32.62	540
34.78	545